No. 1
Starting from the PBE geometry in Alexandria, the X-ray powder pattern of NaLi4Hg5 was simulated for λ = 1.5418 Å (Cu Kα).
Lines closer than 0.1° are merged.

Crystal structure
```
data_NaLi4Hg5
_cell_length_a 3.4186
_cell_length_b 3.4186
_cell_length_c 17.0824
_cell_angle_alpha 90.00
_cell_angle_beta 90.00
_cell_angle_gamma 90.00
_space_group_name_H-M_alt 'P 4/m m m'
_space_group_IT_number 123
_space_group_name_Hall '-P 4 2'
loop_
_atom_site_label
_atom_site_type_symbol
_atom_site_fract_x
_atom_site_fract_y
_atom_site_fract_z
Na1 Na 0.0000 0.0000 0.0000
Li1 Li 0.0000 0.0000 0.2194
Li2 Li 0.0000 0.0000 0.4063
Hg1 Hg 0.5000 0.5000 0.1265
Hg2 Hg 0.5000 0.5000 0.3126
Hg3 Hg 0.5000 0.5000 0.5000
```

The 10 most intense peaks (10° ≤ 2θ ≤ 90°), by angle:
3.418 Å, 2θ = 26.07°, I 100, (1 0 0); 2.417 Å, 2θ = 37.20°, I 87, (1 1 0); 2.188 Å, 2θ = 41.27°, I 12, (1 0 6); 1.973 Å, 2θ = 45.99°, I 23, (1 1 5); 1.843 Å, 2θ = 49.46°, I 8, (1 1 6); 1.709 Å, 2θ = 53.62°, I 14, (2 0 0); 1.529 Å, 2θ = 60.57°, I 28, (2 1 0); 1.414 Å, 2θ = 66.08°, I 10, (1 0 11); 1.395 Å, 2θ = 67.07°, I 21, (2 1 5); 1.139 Å, 2θ = 85.16°, I 10, (3 0 0)

No. 2
Starting from the PBE geometry in Alexandria, the X-ray powder pattern of Na3Li2Hg4 was simulated for λ = 1.5418 Å (Cu Kα).
Lines closer than 0.1° are merged.

Crystal structure
```
data_Na3Li2Hg4
_cell_length_a 9.1923
_cell_length_b 5.1059
_cell_length_c 9.2249
_cell_angle_alpha 90.00
_cell_angle_beta 96.04
_cell_angle_gamma 90.00
_space_group_name_H-M_alt 'C 1 2/m 1'
_space_group_IT_number 12
_space_group_name_Hall '-C 2y'
loop_
_atom_site_label
_atom_site_type_symbol
_atom_site_fract_x
_atom_site_fract_y
_atom_site_fract_z
Na1 Na 0.0000 0.0000 0.0000
Na2 Na 0.1317 0.5000 0.7590
Li1 Li 0.2051 0.5000 0.4152
Hg1 Hg 0.0560 0.0000 0.3554
Hg2 Hg 0.1835 0.5000 0.1125
```

The 10 most intense peaks (10° ≤ 2θ ≤ 90°), by angle:
4.093 Å, 2θ = 21.71°, I 65, (1 1 -1); 3.929 Å, 2θ = 22.63°, I 100, (2 0 1); 3.282 Å, 2θ = 27.17°, I 62, (1 1 -2); 3.118 Å, 2θ = 28.63°, I 33, (1 1 2); 2.675 Å, 2θ = 33.50°, I 46, (2 0 -3); 2.617 Å, 2θ = 34.27°, I 49, (3 1 0); 2.579 Å, 2θ = 34.79°, I 40, (3 1 -1); 2.553 Å, 2θ = 35.15°, I 43, (0 2 0); 2.463 Å, 2θ = 36.48°, I 62, (1 1 3); 2.141 Å, 2θ = 42.21°, I 36, (2 2 1)

No. 3
Starting from the PBE geometry in Alexandria, the X-ray powder pattern of Na3Li2Hg2 was simulated for λ = 1.5418 Å (Cu Kα).
Lines closer than 0.1° are merged.

Crystal structure
```
data_Na3Li2Hg2
_cell_length_a 4.0072
_cell_length_b 26.0580
_cell_length_c 3.4100
_cell_angle_alpha 90.00
_cell_angle_beta 90.00
_cell_angle_gamma 90.00
_space_group_name_H-M_alt 'C m m m'
_space_group_IT_number 65
_space_group_name_Hall '-C 2 2'
loop_
_atom_site_label
_atom_site_type_symbol
_atom_site_fract_x
_atom_site_fract_y
_atom_site_fract_z
Na1 Na 0.0000 0.0000 0.0000
Na2 Na 0.0000 0.3981 0.5000
Li1 Li 0.0000 0.2833 0.5000
Hg1 Hg 0.0000 0.1824 0.0000
```

The 10 most intense peaks (10° ≤ 2θ ≤ 90°), by angle:
4.343 Å, 2θ = 20.45°, I 64, (0 6 0); 3.639 Å, 2θ = 24.46°, I 94, (1 3 0); 3.410 Å, 2θ = 26.13°, I 48, (0 0 1); 3.299 Å, 2θ = 27.03°, I 40, (0 2 1); 3.177 Å, 2θ = 28.09°, I 100, (1 5 0); 2.682 Å, 2θ = 33.41°, I 61, (0 6 1); 2.488 Å, 2θ = 36.10°, I 92, (1 3 1); 2.355 Å, 2θ = 38.21°, I 40, (0 8 1); 2.324 Å, 2θ = 38.74°, I 56, (1 5 1); 1.750 Å, 2θ = 52.27°, I 45, (1 11 1)

No. 4
Starting from the PBE geometry in Alexandria, the X-ray powder pattern of NaLi14Hg was simulated for λ = 1.5418 Å (Cu Kα).
Lines closer than 0.1° are merged.

Crystal structure
```
data_NaLi14Hg
_cell_length_a 6.2659
_cell_length_b 6.2659
_cell_length_c 8.2095
_cell_angle_alpha 90.00
_cell_angle_beta 90.00
_cell_angle_gamma 90.00
_space_group_name_H-M_alt 'P 4/m m m'
_space_group_IT_number 123
_space_group_name_Hall '-P 4 2'
loop_
_atom_site_label
_atom_site_type_symbol
_atom_site_fract_x
_atom_site_fract_y
_atom_site_fract_z
Na1 Na 0.0000 0.0000 0.0000
Li1 Li 0.0000 0.0000 0.5000
Li2 Li 0.0000 0.5000 0.0000
Li3 Li 0.0000 0.5000 0.5000
Li4 Li 0.2644 0.2644 0.2473
Li5 Li 0.5000 0.5000 0.5000
Hg1 Hg 0.5000 0.5000 0.0000
```

The 10 most intense peaks (10° ≤ 2θ ≤ 90°), by angle:
8.210 Å, 2θ = 10.78°, I 100, (0 0 1); 6.266 Å, 2θ = 14.13°, I 78, (1 0 0); 4.981 Å, 2θ = 17.81°, I 90, (1 0 1); 4.431 Å, 2θ = 20.04°, I 52, (1 1 0); 3.899 Å, 2θ = 22.81°, I 77, (1 1 1); 3.434 Å, 2θ = 25.95°, I 36, (1 0 2); 3.011 Å, 2θ = 29.67°, I 40, (1 1 2); 2.927 Å, 2θ = 30.54°, I 37, (2 0 1); 2.652 Å, 2θ = 33.80°, I 39, (2 1 1); 2.490 Å, 2θ = 36.06°, I 46, (2 0 2)

No. 5
Starting from the PBE geometry in Alexandria, the X-ray powder pattern of NaLi4Hg3 was simulated for λ = 1.5418 Å (Cu Kα).
Lines closer than 0.1° are merged.

Crystal structure
```
data_NaLi4Hg3
_cell_length_a 4.6769
_cell_length_b 4.6769
_cell_length_c 7.1838
_cell_angle_alpha 90.00
_cell_angle_beta 90.00
_cell_angle_gamma 90.00
_space_group_name_H-M_alt 'P 4/m m m'
_space_group_IT_number 123
_space_group_name_Hall '-P 4 2'
loop_
_atom_site_label
_atom_site_type_symbol
_atom_site_fract_x
_atom_site_fract_y
_atom_site_fract_z
Na1 Na 0.0000 0.0000 0.0000
Li1 Li 0.0000 0.5000 0.2733
Hg1 Hg 0.0000 0.0000 0.5000
Hg2 Hg 0.5000 0.5000 0.0000
Hg3 Hg 0.5000 0.5000 0.5000
```

The 10 most intense peaks (10° ≤ 2θ ≤ 90°), by angle:
7.184 Å, 2θ = 12.32°, I 25, (0 0 1); 3.919 Å, 2θ = 22.69°, I 25, (1 0 1); 3.592 Å, 2θ = 24.79°, I 61, (0 0 2); 3.307 Å, 2θ = 26.96°, I 99, (1 1 0); 2.433 Å, 2θ = 36.95°, I 100, (1 1 2); 2.338 Å, 2θ = 38.50°, I 45, (2 0 0); 1.960 Å, 2θ = 46.33°, I 47, (2 0 2); 1.578 Å, 2θ = 58.48°, I 24, (1 1 4); 1.502 Å, 2θ = 61.76°, I 20, (2 2 2); 1.368 Å, 2θ = 68.63°, I 33, (3 1 2)

No. 6
Starting from the PBE geometry in Alexandria, the X-ray powder pattern of NaLi3Hg was simulated for λ = 1.5418 Å (Cu Kα).
Lines closer than 0.1° are merged.

Crystal structure
```
data_NaLi3Hg
_cell_length_a 6.1761
_cell_length_b 13.9541
_cell_length_c 5.2580
_cell_angle_alpha 90.00
_cell_angle_beta 90.00
_cell_angle_gamma 90.00
_space_group_name_H-M_alt 'C m c m'
_space_group_IT_number 63
_space_group_name_Hall '-C 2c 2'
loop_
_atom_site_label
_atom_site_type_symbol
_atom_site_fract_x
_atom_site_fract_y
_atom_site_fract_z
Na1 Na 0.0000 0.0917 0.2500
Li1 Li 0.0000 0.5000 0.0000
Li2 Li 0.2250 0.3219 0.2500
Hg1 Hg 0.0000 0.3302 0.7500
```

The 10 most intense peaks (10° ≤ 2θ ≤ 90°), by angle:
6.977 Å, 2θ = 12.69°, I 36, (0 2 0); 5.648 Å, 2θ = 15.69°, I 31, (1 1 0); 4.199 Å, 2θ = 21.16°, I 81, (0 2 1); 3.848 Å, 2θ = 23.11°, I 100, (1 1 1); 3.716 Å, 2θ = 23.95°, I 66, (1 3 0); 3.088 Å, 2θ = 28.91°, I 28, (2 0 0); 2.488 Å, 2θ = 36.10°, I 51, (2 2 1); 2.289 Å, 2θ = 39.35°, I 29, (1 5 1); 2.146 Å, 2θ = 42.10°, I 35, (1 3 2); 2.117 Å, 2θ = 42.72°, I 24, (2 4 1)

No. 7
Starting from the PBE geometry in Alexandria, the X-ray powder pattern of Na3Li2Hg5 was simulated for λ = 1.5418 Å (Cu Kα).
Lines closer than 0.1° are merged.

Crystal structure
```
data_Na3Li2Hg5
_cell_length_a 11.3423
_cell_length_b 11.3423
_cell_length_c 3.7262
_cell_angle_alpha 90.00
_cell_angle_beta 90.00
_cell_angle_gamma 90.00
_space_group_name_H-M_alt 'P 4/m b m'
_space_group_IT_number 127
_space_group_name_Hall '-P 4 2ab'
loop_
_atom_site_label
_atom_site_type_symbol
_atom_site_fract_x
_atom_site_fract_y
_atom_site_fract_z
Na1 Na 0.0000 0.0000 0.0000
Na2 Na 0.1750 0.3250 0.0000
Li1 Li 0.1253 0.6253 0.0000
Hg1 Hg 0.0000 0.5000 0.5000
Hg2 Hg 0.0555 0.7926 0.5000
```

The 10 most intense peaks (10° ≤ 2θ ≤ 90°), by angle:
3.726 Å, 2θ = 23.88°, I 100, (0 0 1); 3.587 Å, 2θ = 24.82°, I 58, (3 1 0); 3.146 Å, 2θ = 28.37°, I 37, (3 2 0); 2.751 Å, 2θ = 32.55°, I 65, (4 1 0); 2.730 Å, 2θ = 32.81°, I 30, (2 2 1); 2.584 Å, 2θ = 34.71°, I 83, (3 1 1); 2.404 Å, 2θ = 37.41°, I 42, (3 2 1); 2.213 Å, 2θ = 40.77°, I 51, (4 1 1); 1.604 Å, 2θ = 57.46°, I 31, (7 1 0); 1.473 Å, 2θ = 63.10°, I 33, (7 1 1)

No. 8
Starting from the PBE geometry in Alexandria, the X-ray powder pattern of Na6LiHg was simulated for λ = 1.5418 Å (Cu Kα).
Lines closer than 0.1° are merged.

Crystal structure
```
data_Na6LiHg
_cell_length_a 4.1609
_cell_length_b 10.9920
_cell_length_c 10.8494
_cell_angle_alpha 90.00
_cell_angle_beta 90.00
_cell_angle_gamma 90.00
_space_group_name_H-M_alt 'A m m 2'
_space_group_IT_number 38
_space_group_name_Hall 'A 2 -2'
loop_
_atom_site_label
_atom_site_type_symbol
_atom_site_fract_x
_atom_site_fract_y
_atom_site_fract_z
Na1 Na 0.0000 0.0000 0.0000
Na2 Na 0.0000 0.2279 0.2210
Na3 Na 0.5000 0.0000 0.7097
Na4 Na 0.5000 0.2318 0.4675
Li1 Li 0.0000 0.0000 0.4355
Hg1 Hg 0.5000 0.0000 0.2521
```

The 10 most intense peaks (10° ≤ 2θ ≤ 90°), by angle:
7.722 Å, 2θ = 11.46°, I 100, (0 1 1); 5.496 Å, 2θ = 16.13°, I 17, (0 2 0); 5.425 Å, 2θ = 16.34°, I 25, (0 0 2); 3.861 Å, 2θ = 23.04°, I 23, (0 2 2); 3.663 Å, 2θ = 24.30°, I 32, (1 1 1); 3.435 Å, 2θ = 25.94°, I 16, (0 1 3); 3.317 Å, 2θ = 26.88°, I 16, (1 2 0); 2.830 Å, 2θ = 31.61°, I 67, (1 2 2); 2.748 Å, 2θ = 32.58°, I 15, (0 4 0); 2.666 Å, 2θ = 33.62°, I 18, (1 3 1)

No. 9
Starting from the PBE geometry in Alexandria, the X-ray powder pattern of Na4LiHg7 was simulated for λ = 1.5418 Å (Cu Kα).
Lines closer than 0.1° are merged.

Crystal structure
```
data_Na4LiHg7
_cell_length_a 5.1634
_cell_length_b 5.1634
_cell_length_c 12.7597
_cell_angle_alpha 90.00
_cell_angle_beta 90.00
_cell_angle_gamma 120.00
_space_group_name_H-M_alt 'P -3 m 1'
_space_group_IT_number 164
_space_group_name_Hall '-P 3 2"'
loop_
_atom_site_label
_atom_site_type_symbol
_atom_site_fract_x
_atom_site_fract_y
_atom_site_fract_z
Na1 Na 0.3333 0.6667 0.1643
Na2 Na 0.3333 0.6667 0.4192
Li1 Li 0.0000 0.0000 0.0000
Hg1 Hg 0.0000 0.0000 0.2357
Hg2 Hg 0.0000 0.0000 0.5000
Hg3 Hg 0.3333 0.6667 0.6742
Hg4 Hg 0.3333 0.6667 0.9281
```

The 10 most intense peaks (10° ≤ 2θ ≤ 90°), by angle:
4.220 Å, 2θ = 21.05°, I 66, (0 1 1); 3.082 Å, 2θ = 28.97°, I 46, (0 1 3); 2.597 Å, 2θ = 34.54°, I 95, (1 0 4); 2.582 Å, 2θ = 34.75°, I 100, (1 1 0); 1.831 Å, 2θ = 49.80°, I 34, (0 2 4); 1.502 Å, 2θ = 61.75°, I 16, (0 1 8); 1.493 Å, 2θ = 62.16°, I 35, (2 1 4); 1.490 Å, 2θ = 62.32°, I 31, (3 0 0); 1.160 Å, 2θ = 83.30°, I 15, (1 2 8); 1.156 Å, 2θ = 83.66°, I 16, (1 3 4)

No. 10
Starting from the PBE geometry in Alexandria, the X-ray powder pattern of NaLiNiHg2 was simulated for λ = 1.5418 Å (Cu Kα).
Lines closer than 0.1° are merged.

Crystal structure
```
data_NaLiNiHg2
_cell_length_a 5.0474
_cell_length_b 5.0474
_cell_length_c 4.6139
_cell_angle_alpha 90.00
_cell_angle_beta 90.00
_cell_angle_gamma 90.00
_space_group_name_H-M_alt 'P 4/m m m'
_space_group_IT_number 123
_space_group_name_Hall '-P 4 2'
loop_
_atom_site_label
_atom_site_type_symbol
_atom_site_fract_x
_atom_site_fract_y
_atom_site_fract_z
Na1 Na 0.0000 0.0000 0.0000
Li1 Li 0.5000 0.5000 0.0000
Ni1 Ni 0.5000 0.5000 0.5000
Hg1 Hg 0.0000 0.5000 0.5000
```

The 10 most intense peaks (10° ≤ 2θ ≤ 90°), by angle:
4.614 Å, 2θ = 19.24°, I 100, (0 0 1); 3.569 Å, 2θ = 24.95°, I 53, (1 1 0); 2.823 Å, 2θ = 31.70°, I 84, (1 1 1); 2.524 Å, 2θ = 35.57°, I 57, (2 0 0); 2.214 Å, 2θ = 40.75°, I 61, (2 0 1); 1.703 Å, 2θ = 53.84°, I 35, (2 0 2); 1.664 Å, 2θ = 55.19°, I 26, (2 2 1); 1.508 Å, 2θ = 61.47°, I 26, (3 1 1); 1.412 Å, 2θ = 66.19°, I 29, (2 2 2); 1.313 Å, 2θ = 71.91°, I 24, (2 0 3)

No. 11
Starting from the PBE geometry in Alexandria, the X-ray powder pattern of NaLi2Hg4Pb was simulated for λ = 1.5418 Å (Cu Kα).
Lines closer than 0.1° are merged.

Crystal structure
```
data_NaLi2Hg4Pb
_cell_length_a 5.0509
_cell_length_b 5.0509
_cell_length_c 25.4738
_cell_angle_alpha 90.00
_cell_angle_beta 90.00
_cell_angle_gamma 120.00
_space_group_name_H-M_alt 'R -3 m'
_space_group_IT_number 166
_space_group_name_Hall '-R 3 2"'
loop_
_atom_site_label
_atom_site_type_symbol
_atom_site_fract_x
_atom_site_fract_y
_atom_site_fract_z
Na1 Na 0.0000 0.0000 0.0000
Li1 Li 0.0000 0.0000 0.2446
Hg1 Hg 0.0000 0.0000 0.1171
Hg2 Hg 0.0000 0.0000 0.3702
Pb1 Pb 0.0000 0.0000 0.5000
```

The 10 most intense peaks (10° ≤ 2θ ≤ 90°), by angle:
4.137 Å, 2θ = 21.48°, I 18, (0 1 2); 3.606 Å, 2θ = 24.69°, I 70, (1 0 4); 2.574 Å, 2θ = 34.85°, I 97, (0 1 8); 2.525 Å, 2θ = 35.55°, I 100, (1 1 0); 2.069 Å, 2θ = 43.76°, I 16, (0 2 4); 1.803 Å, 2θ = 50.63°, I 34, (2 0 8); 1.467 Å, 2θ = 63.39°, I 35, (1 2 8); 1.458 Å, 2θ = 63.83°, I 22, (3 0 0); 1.263 Å, 2θ = 75.24°, I 16, (2 2 0); 1.134 Å, 2θ = 85.69°, I 16, (3 1 8)

No. 12
Starting from the PBE geometry in Alexandria, the X-ray powder pattern of NaSr2Li2Hg was simulated for λ = 1.5418 Å (Cu Kα).
Lines closer than 0.1° are merged.

Crystal structure
```
data_NaSr2Li2Hg
_cell_length_a 7.4082
_cell_length_b 15.1524
_cell_length_c 7.2235
_cell_angle_alpha 90.00
_cell_angle_beta 90.00
_cell_angle_gamma 90.00
_space_group_name_H-M_alt 'I b a m'
_space_group_IT_number 72
_space_group_name_Hall '-I 2 2c'
loop_
_atom_site_label
_atom_site_type_symbol
_atom_site_fract_x
_atom_site_fract_y
_atom_site_fract_z
Na1 Na 0.0000 0.0000 0.2500
Sr1 Sr 0.2113 0.3313 0.0000
Li1 Li 0.2226 0.4083 0.5000
Hg1 Hg 0.0000 0.5000 0.2500
```

The 10 most intense peaks (10° ≤ 2θ ≤ 90°), by angle:
7.576 Å, 2θ = 11.68°, I 31, (0 2 0); 6.655 Å, 2θ = 13.30°, I 100, (1 1 0); 4.271 Å, 2θ = 20.80°, I 37, (1 2 1); 3.328 Å, 2θ = 26.79°, I 48, (2 2 0); 3.260 Å, 2θ = 27.36°, I 49, (0 2 2); 2.731 Å, 2θ = 32.79°, I 30, (1 3 2); 2.648 Å, 2θ = 33.85°, I 26, (2 4 0); 2.614 Å, 2θ = 34.31°, I 27, (0 4 2); 2.586 Å, 2θ = 34.69°, I 41, (2 0 2); 1.807 Å, 2θ = 50.51°, I 27, (2 6 2)